No. 1
This entry pairs a crystal structure of AgSn2PbS4 with its theoretical X-ray powder pattern. Radiation: Cu Kα. Structure: a DFT-relaxed cell (GGA-PBE, Alexandria).
Intensities are scaled so that the largest is 100.

Crystal structure
```
data_AgSn2PbS4
_symmetry_space_group_name_H-M 'F m m 2'
_symmetry_Int_Tables_number 42
_symmetry_space_group_name_Hall 'F 2 -2'
_cell_length_a 8.1260
_cell_length_b 11.3200
_cell_length_c 8.1251
_cell_angle_alpha 90.00
_cell_angle_beta 90.00
_cell_angle_gamma 90.00
loop_
_atom_site_label
_atom_site_type_symbol
_atom_site_fract_x
_atom_site_fract_y
_atom_site_fract_z
Ag1 Ag 0.0000 0.0000 0.0000
Sn1 Sn 0.2500 0.2500 0.2510
Pb1 Pb 0.0000 0.0000 0.5007
S1 S 0.0000 0.2393 0.0009
S2 S 0.2499 0.0000 0.2508
```

The 6 most intense peaks (2θ from 15° to 90°), by angle:
- 27.0°, I = 100, hkl 2 2 0
- 31.1°, I = 95, hkl 2 0 2
- 31.6°, I = 45, hkl 0 4 0
- 44.6°, I = 35, hkl 4 0 0
- 45.0°, I = 67, hkl 2 4 2
- 55.7°, I = 35, hkl 4 4 0



No. 2
This entry pairs a crystal structure of TbMn2GeN with its theoretical X-ray powder pattern. Radiation: Cu Kα. Structure: a DFT-relaxed cell (GGA-PBE, Alexandria).
Intensities are scaled so that the largest is 100.

Crystal structure
```
data_TbMn2GeN
_symmetry_space_group_name_H-M 'C m c m'
_symmetry_Int_Tables_number 63
_symmetry_space_group_name_Hall '-C 2c 2'
_cell_length_a 3.6519
_cell_length_b 10.7559
_cell_length_c 7.1636
_cell_angle_alpha 90.00
_cell_angle_beta 90.00
_cell_angle_gamma 90.00
loop_
_atom_site_label
_atom_site_type_symbol
_atom_site_fract_x
_atom_site_fract_y
_atom_site_fract_z
Tb1 Tb 0.0000 0.0410 0.2500
Mn1 Mn 0.0000 0.3361 0.0553
Ge1 Ge 0.0000 0.2354 0.7500
N1 N 0.0000 0.5000 0.0000
```

The 6 most intense peaks (2θ from 15° to 90°), by angle:
- 35.1°, I = 42, hkl 1 3 0
- 35.7°, I = 41, hkl 0 4 1
- 36.1°, I = 100, hkl 1 1 2
- 37.3°, I = 66, hkl 1 3 1
- 42.0°, I = 24, hkl 0 4 2
- 49.9°, I = 26, hkl 2 0 0